This entry pairs a crystal structure of H4PbSe with its simulated X-ray diffraction stick pattern. Radiation: CuKα. Structure: a DFT-relaxed cell (PBE, Alexandria).
Kinematic intensities with the Lorentz-polarization factor, no thermal factor.

```
data_H4PbSe
_space_group_name_H-M_alt 'P 1'
_space_group_IT_number 1
_cell_length_a 8.2321
_cell_length_b 8.2321
_cell_length_c 4.2444
_cell_angle_alpha 90.00
_cell_angle_beta 90.00
_cell_angle_gamma 136.10
loop_
_space_group_symop_operation_xyz
'x,y,z'
loop_
_atom_site_label
_atom_site_fract_x
_atom_site_fract_y
_atom_site_fract_z
_atom_site_occupancy
H1 0.1294 0.2751 0.2500 1
H2 0.2459 0.3160 0.2500 1
H3 0.2751 0.1294 0.7500 1
H4 0.3160 0.2459 0.7500 1
H5 0.6840 0.7541 0.2500 1
H6 0.7249 0.8706 0.2500 1
H7 0.7541 0.6840 0.7500 1
H8 0.8706 0.7249 0.7500 1
Pb1 0.3199 0.6801 0.7500 1
Pb2 0.6801 0.3199 0.2500 1
Se1 0.1972 0.8028 0.2500 1
Se2 0.8028 0.1972 0.7500 1
```

Main lines, by angle (10° ≤ 2θ ≤ 90°):
2θ 11.6, 7.635 Å, rel. 100; 2θ 24.0, 3.710 Å, rel. 45; 2θ 26.2, 3.406 Å, rel. 21; 2θ 29.0, 3.077 Å, rel. 27; 2θ 31.3, 2.854 Å, rel. 22; 2θ 31.5, 2.838 Å, rel. 45; 2θ 38.0, 2.368 Å, rel. 30; 2θ 43.4, 2.086 Å, rel. 36


This entry pairs a crystal structure of GaP2Pt6 with its simulated X-ray diffraction stick pattern. Radiation: CuKα. Structure: a DFT-relaxed cell (PBE, Alexandria).
Kinematic intensities with the Lorentz-polarization factor, no thermal factor.

```
data_GaP2Pt6
_space_group_name_H-M_alt 'P 1'
_space_group_IT_number 1
_cell_length_a 8.0594
_cell_length_b 8.0594
_cell_length_c 5.3472
_cell_angle_alpha 107.92
_cell_angle_beta 107.92
_cell_angle_gamma 78.69
loop_
_space_group_symop_operation_xyz
'x,y,z'
loop_
_atom_site_label
_atom_site_fract_x
_atom_site_fract_y
_atom_site_fract_z
_atom_site_occupancy
Ga1 0.2313 0.7687 0.7500 1
Ga2 0.7687 0.2313 0.2500 1
P1 0.0934 0.3703 0.6755 1
P2 0.3703 0.0934 0.1755 1
P3 0.6297 0.9066 0.8245 1
P4 0.9066 0.6297 0.3245 1
Pt1 0.0868 0.1286 0.2310 1
Pt2 0.1286 0.0868 0.7310 1
Pt3 0.1873 0.4785 0.3751 1
Pt4 0.3155 0.5233 0.9856 1
Pt5 0.4767 0.6845 0.5144 1
Pt6 0.4785 0.1873 0.8751 1
Pt7 0.5215 0.8127 0.1249 1
Pt8 0.5233 0.3155 0.4856 1
Pt9 0.6845 0.4767 0.0144 1
Pt10 0.8127 0.5215 0.6249 1
Pt11 0.8714 0.9132 0.2690 1
Pt12 0.9132 0.8714 0.7690 1
```

Main lines, by angle (10° ≤ 2θ ≤ 90°):
2θ 17.4, 5.109 Å, rel. 31; 2θ 27.3, 3.265 Å, rel. 77; 2θ 31.3, 2.859 Å, rel. 30; 2θ 35.3, 2.540 Å, rel. 100; 2θ 36.2, 2.481 Å, rel. 36; 2θ 42.9, 2.108 Å, rel. 45; 2θ 45.1, 2.010 Å, rel. 50; 2θ 46.2, 1.965 Å, rel. 38